Simulated powder X-ray diffraction pattern of Na2U2SiO8F2 for CuKα, from a crystal structure in the Materials Project, relaxed with GGA-PBE.
Intensities are scaled so that the largest is 100.

Main lines, in order of falling intensity (2θ from 5° to 70°):
Position (°2θ), Rel. int.
19.1, 100
25.3, 94
13.5, 73
20.3, 62
34.1, 60
31.9, 50
50.6, 47
27.1, 42
28.8, 30
45.8, 30
41.8, 28
46.9, 23

Structure:
a = 10.535 Å, b = 10.535 Å, c = 10.535 Å
α = 141.03°, β = 141.03°, γ = 56.30°
Atoms (fractional coordinates):
Na1 0.000 0.000 0.000
Na2 0.000 0.000 0.500
Na3 0.000 0.500 0.000
Na4 0.500 0.000 0.500
U1 0.201 0.451 0.750
U2 0.451 0.201 0.250
U3 0.549 0.799 0.750
U4 0.799 0.549 0.250
Si1 0.375 0.625 0.750
Si2 0.625 0.375 0.250
O1 0.141 0.567 0.573
O2 0.190 0.202 0.988
O3 0.202 0.190 0.488
O4 0.202 0.714 0.012
O5 0.286 0.798 0.488
O6 0.433 0.506 0.573
O7 0.433 0.859 0.927
O8 0.494 0.567 0.927
O9 0.506 0.433 0.073
O10 0.567 0.141 0.073
O11 0.567 0.494 0.427
O12 0.714 0.202 0.512
O13 0.798 0.286 0.988
O14 0.798 0.810 0.512
O15 0.810 0.798 0.012
O16 0.859 0.433 0.427
F1 0.082 0.332 0.750
F2 0.332 0.082 0.250
F3 0.668 0.918 0.750
F4 0.918 0.668 0.250